No. 1
Structure and computed powder diffractogram of BaSr3Bi3 (DFT lattice parameters and positions (GGA-PBE); λ = 1.5418 Å (Cu Kα)).
Intensities are scaled so that the largest is 1000.

Structure:
a = 10.2966 Å, b = 10.2966 Å, c = 20.5677 Å
α = 90.00°, β = 90.00°, γ = 120.00°
Space group R-3 (No. 148, hexagonal axes)
Symmetry-distinct sites (fractional):
1 Ba 0.0000 0.0000 0.1656 [6 per cell]
2 Sr 0.0066 0.2940 0.5923 [18 per cell]
3 Bi 0.0063 0.3673 0.4236 [18 per cell]

Peak list (8 most intense, 10° ≤ 2θ ≤ 80°, most intense first)
| (hkl) | d_spacing | I (rel.) |
| --- | --- | --- |
| 3 0 0 | 2.972 | 1000 |
| 1 1 6 | 2.853 | 741 |
| 1 1 3 | 4.117 | 564 |
| 0 3 6 | 2.246 | 419 |
| 1 1 0 | 5.148 | 392 |
| 0 0 6 | 3.428 | 309 |
| 0 3 12 | 1.485 | 244 |
| 4 -2 3 | 2.408 | 234 |

No. 2
Structure and computed powder diffractogram of Ba5Sr5Bi6 (DFT lattice parameters and positions (GGA-PBE); λ = 1.5418 Å (Cu Kα)).
Intensities are scaled so that the largest is 1000.

Structure:
a = 7.698 Å, b = 17.395 Å, c = 10.106 Å
α = 90.00°, β = 90.00°, γ = 90.00°
Space group Amm2 (No. 38)
Symmetry-distinct sites (fractional):
1 Ba 0.000 0.000 0.000 [2 per cell]
2 Ba 0.000 0.126 0.618 [4 per cell]
3 Ba 0.500 0.127 0.872 [4 per cell]
4 Sr 0.250 0.166 0.247 [8 per cell]
5 Sr 0.500 0.000 0.488 [2 per cell]
6 Bi 0.000 0.000 0.351 [2 per cell]
7 Bi 0.000 0.197 0.942 [4 per cell]
8 Bi 0.500 0.000 0.144 [2 per cell]
9 Bi 0.500 0.193 0.546 [4 per cell]

Peak list (8 most intense, 10° ≤ 2θ ≤ 80°, most intense first)
| (hkl) | d_spacing | I (rel.) |
| --- | --- | --- |
| 2 3 1 | 3.058 | 1000 |
| 1 1 3 | 3.034 | 979 |
| 2 0 0 | 3.849 | 576 |
| 1 5 1 | 3.025 | 474 |
| 3 1 3 | 2.025 | 467 |
| 0 3 3 | 2.913 | 419 |
| 1 3 1 | 4.214 | 253 |
| 0 3 1 | 5.036 | 253 |